No. 1
For Mg3Mn2Al18, a GGA-PBE-relaxed structure gives the computed powder diffractogram in this record (Cu Ka).

Main lines, sorted by position (10° ≤ 2θ ≤ 80°):
2theta  Rel. int.
10.63  60
35.21  19
36.88  38
39.53  26
41.05  71
41.54  100
43.48  32
44.89  49
53.96  17
67.51  24
74.44  40
78.15  19

Structural model:
```
46
Lattice="0.000 7.209 7.209 7.209 0.000 7.209 7.209 7.209 0.000" Properties=species:S:1:pos:R:3 pbc="T T T"
Mg 0.000 0.000 0.000
Mg 3.605 3.605 0.000
Mg 3.605 0.000 3.605
Mg 1.802 1.802 1.802
Mg 0.000 3.605 3.605
Mg 12.616 12.616 12.616
Mn 7.209 3.605 3.605
Mn 3.605 7.209 3.605
Mn 3.605 3.605 7.209
Mn 7.209 7.209 7.209
Al 4.696 2.770 2.770
Al 8.044 6.118 2.770
Al 8.044 2.770 6.118
Al 9.723 6.375 6.375
Al 11.649 8.301 6.375
Al 11.649 6.375 8.301
Al 5.407 5.407 3.426
Al 5.407 3.426 5.407
Al 7.388 5.407 5.407
Al 2.770 4.696 2.770
Al 6.118 8.044 2.770
Al 2.770 2.770 4.696
Al 8.044 8.044 4.696
Al 6.118 2.770 8.044
Al 8.044 4.696 8.044
Al 9.012 9.012 7.030
Al 9.012 7.030 9.012
Al 10.993 9.012 9.012
Al 3.426 5.407 5.407
Al 5.407 7.388 5.407
Al 5.407 5.407 7.388
Al 6.375 9.723 6.375
Al 8.301 11.649 6.375
Al 6.375 6.375 9.723
Al 11.649 11.649 9.723
Al 8.301 6.375 11.649
Al 11.649 9.723 11.649
Al 7.030 9.012 9.012
Al 9.012 10.993 9.012
Al 9.012 9.012 10.993
Al 2.770 8.044 6.118
Al 2.770 6.118 8.044
Al 4.696 8.044 8.044
Al 6.375 11.649 8.301
Al 6.375 8.301 11.649
Al 9.723 11.649 11.649
```

=====

No. 2
For Mg2Mn3AlS8, a GGA-PBE-relaxed structure gives the computed powder diffractogram in this record (Cu Ka).

Main lines, sorted by position (10° ≤ 2θ ≤ 80°):
2theta  Rel. int.
14.93  67
24.51  12
28.74  57
28.85  13
34.87  100
45.79  31
45.89  15
50.03  49
50.25  49
52.52  8
62.43  14
73.63  13

Structural model:
```
14
Lattice="3.646 2.105 5.918 -3.646 2.105 5.918 0.000 -4.210 5.918" Properties=species:S:1:pos:R:3 pbc="T T T"
Mg 0.000 0.000 2.218
Mg 0.000 0.000 15.535
Mn -1.823 -1.053 5.918
Mn -1.823 1.053 11.836
Mn 0.000 2.105 5.918
Al 0.000 0.000 8.877
S 0.000 0.000 4.643
S 0.000 -1.893 7.347
S -1.639 0.946 7.347
S -1.639 -0.946 10.406
S 1.639 0.946 7.347
S 1.639 -0.946 10.406
S 0.000 1.893 10.406
S 0.000 0.000 13.110
```

=====

No. 3
For MgMnAlS4, a GGA-PBE-relaxed structure gives the computed powder diffractogram in this record (Cu Ka).

Main lines, sorted by position (10° ≤ 2θ ≤ 80°):
2theta  Rel. int.
14.95  87
28.71  66
29.02  30
30.14  19
34.78  100
35.25  48
45.73  45
46.28  22
49.88  25
50.14  26
50.36  98
62.77  14

Structural model:
```
14
Lattice="-3.639 3.656 5.092 3.639 -3.656 5.092 3.639 3.656 -5.092" Properties=species:S:1:pos:R:3 pbc="T T T"
Mg 0.000 1.828 1.269
Mg 3.639 1.828 3.823
Mn 3.639 0.000 0.000
Mn 0.000 0.000 5.092
Al 1.819 1.828 -2.546
Al 1.819 -1.828 2.546
S 3.639 -0.187 2.433
S 3.639 3.469 -2.433
S 1.971 1.828 -0.143
S 5.306 1.828 -0.143
S -1.668 1.828 5.235
S 1.668 1.828 5.235
S 0.000 0.187 7.525
S 0.000 3.844 2.659
```

=====

No. 4
For Mg6AlMo, a GGA-PBE-relaxed structure gives the computed powder diffractogram in this record (Cu Ka).

Main lines, sorted by position (10° ≤ 2θ ≤ 80°):
2theta  Rel. int.
16.47  25
17.13  39
17.89  18
24.87  27
34.66  33
36.23  43
38.04  62
39.27  100
51.01  21
60.37  18
67.20  21
72.48  20

Structural model:
```
8
Lattice="4.958 0.000 0.000 0.000 2.952 5.383 0.000 -2.952 5.383" Properties=species:S:1:pos:R:3 pbc="T T T"
Mg 0.000 0.000 0.000
Mg 0.000 -1.419 2.768
Mg 0.000 0.000 5.315
Mg 0.000 1.419 2.768
Mg 2.479 -1.469 6.362
Mg 2.479 1.469 6.362
Al 2.479 0.000 9.032
Mo 2.479 0.000 3.689
```

=====

No. 5
For Mg16Al12Mo, a GGA-PBE-relaxed structure gives the computed powder diffractogram in this record (Cu Ka).

Main lines, sorted by position (10° ≤ 2θ ≤ 80°):
2theta  Rel. int.
11.73  42
12.26  48
34.38  40
35.69  100
36.63  85
37.18  76
37.37  55
40.80  56
41.32  52
42.75  25
43.87  29
65.47  32

Structural model:
```
29
Lattice="7.220 4.168 3.155 -7.220 4.168 3.155 0.000 -8.337 3.155" Properties=species:S:1:pos:R:3 pbc="T T T"
Mg 0.000 0.000 0.000
Mg -2.890 -3.991 3.486
Mg -4.901 -0.508 3.486
Mg 0.000 -5.354 2.165
Mg -4.637 2.677 2.165
Mg -2.044 -1.180 4.690
Mg 0.000 -3.290 4.327
Mg -2.850 1.645 4.327
Mg 2.890 -3.991 3.486
Mg -2.011 4.498 3.486
Mg 2.044 -1.180 4.690
Mg 0.000 2.360 4.690
Mg 4.637 2.677 2.165
Mg 4.901 -0.508 3.486
Mg 2.011 4.498 3.486
Mg 2.850 1.645 4.327
Al -1.319 -2.274 1.808
Al -2.629 -0.005 1.808
Al 1.319 -2.275 1.808
Al -1.310 2.280 1.808
Al -4.482 -2.588 5.792
Al 2.629 -0.005 1.808
Al 1.310 2.280 1.808
Al 0.000 -1.596 6.773
Al -1.382 0.798 6.773
Al 4.482 -2.588 5.792
Al 0.000 5.176 5.792
Al 1.382 0.798 6.773
Mo 0.000 0.000 2.786
```

=====

No. 6
For Mg6AlMo, a GGA-PBE-relaxed structure gives the computed powder diffractogram in this record (Cu Ka).

Main lines, sorted by position (10° ≤ 2θ ≤ 80°):
2theta  Rel. int.
16.64  46
24.92  24
29.04  10
33.65  29
34.60  12
37.33  25
38.63  100
49.04  12
51.12  17
60.21  10
68.18  18
72.99  18

Structural model:
```
8
Lattice="4.818 0.000 0.000 0.000 3.078 5.321 0.000 -3.078 5.321" Properties=species:S:1:pos:R:3 pbc="T T T"
Mg 0.000 0.000 0.000
Mg 0.000 -1.463 2.699
Mg 0.000 1.463 2.699
Mg 2.409 -1.511 6.214
Mg 2.409 1.511 6.214
Mg 2.409 0.000 8.860
Al 0.000 0.000 5.125
Mo 2.409 0.000 3.646
```